# CsK2Cd4
Calculated powder X-ray diffraction pattern, Cu Ka. Input: the PBE geometry in Alexandria.
Lines closer than 0.1° are merged.

Cell and atoms:
```
14
Lattice="10.068 -3.891 0.000 10.068 3.891 0.000 -0.624 0.000 7.360" Properties=species:S:1:pos:R:3 pbc="T T T"
Cs 9.601 2.162 5.520
Cs 9.912 -2.162 1.840
K 3.904 0.836 1.492
K 3.592 -0.836 5.172
K 15.921 0.836 2.187
K 15.610 -0.836 5.867
Cd 8.375 1.871 1.693
Cd 6.805 0.179 3.586
Cd 11.450 1.871 1.987
Cd 6.493 -0.179 7.265
Cd 13.020 0.179 0.094
Cd 8.063 -1.871 5.372
Cd 12.708 -0.179 3.774
Cd 11.138 -1.871 5.667
```

Largest 12 diffraction maxima, most intense first, 15° ≤ 2θ ≤ 90°:
- 33.52°, d = 2.673 Å, intensity 100
- 28.62°, d = 3.119 Å, intensity 82
- 24.54°, d = 3.627 Å, intensity 80
- 17.48°, d = 5.074 Å, intensity 59
- 26.95°, d = 3.309 Å, intensity 52
- 29.05°, d = 3.074 Å, intensity 44
- 28.85°, d = 3.094 Å, intensity 37
- 30.92°, d = 2.892 Å, intensity 34
- 25.03°, d = 3.558 Å, intensity 32
- 48.21°, d = 1.888 Å, intensity 30
- 34.59°, d = 2.593 Å, intensity 30
- 36.45°, d = 2.465 Å, intensity 27